# 1
This entry pairs a crystal structure of Er2Sc2Tl3 with its theoretical X-ray diffraction stick pattern. Radiation: copper Kα. Structure: a GGA-PBE-relaxed structure.

```
data_Er2Sc2Tl3
_chemical_formula_sum 'Er4 Sc4 Tl6'
_symmetry_space_group_name_H-M 'I m m m'
_symmetry_Int_Tables_number 71
_symmetry_space_group_name_Hall '-I 2 2'
_cell_length_a 5.043
_cell_length_b 5.126
_cell_length_c 14.676
_cell_angle_alpha 90.00
_cell_angle_beta 90.00
_cell_angle_gamma 90.00
loop_
_atom_site_label
_atom_site_fract_x
_atom_site_fract_y
_atom_site_fract_z
Er1 0.000 0.000 0.122
Sc1 0.000 0.000 0.381
Tl1 0.000 0.500 0.000
Tl2 0.000 0.500 0.255
```

Top 10 peaks for 10° ≤ 2θ ≤ 80°, in order of rising 2θ:
d (Å)  Rel. int.  index
7.338  8  0 0 2
4.770  23  1 0 1
3.539  15  0 1 3
2.567  100  0 2 0
2.522  19  2 0 0
1.798  14  2 2 0
1.492  7  0 2 8
1.481  15  1 3 4
1.465  14  3 1 4
1.284  9  2 2 8

# 2
This entry pairs a crystal structure of ErSc3Tl with its theoretical X-ray diffraction stick pattern. Radiation: copper Kα. Structure: a GGA-PBE-relaxed structure.

```
data_ErSc3Tl
_chemical_formula_sum 'Er2 Sc6 Tl2'
_symmetry_space_group_name_H-M 'P m m n'
_symmetry_Int_Tables_number 59
_cell_length_a 5.044
_cell_length_b 7.144
_cell_length_c 7.201
_cell_angle_alpha 90.00
_cell_angle_beta 90.00
_cell_angle_gamma 90.00
loop_
_symmetry_equiv_pos_as_xyz
'x,y,z'
'-x,-y,-z'
'-x+1/2,-y+1/2,z'
'x+1/2,y+1/2,-z'
'x+1/2,-y,-z'
'-x+1/2,y,z'
'-x,y+1/2,-z'
'x,-y+1/2,z'
loop_
_atom_site_label
_atom_site_fract_x
_atom_site_fract_y
_atom_site_fract_z
Er1 0.250 0.250 0.194
Sc1 0.250 0.042 0.732
Sc2 0.250 0.750 0.063
Tl1 0.250 0.750 0.449
```

Top 10 peaks for 10° ≤ 2θ ≤ 80°, in order of rising 2θ:
d (Å)  Rel. int.  index
7.201  17  0 0 1
4.130  25  1 0 1
3.575  100  0 2 0
3.215  22  0 1 2
2.711  84  1 1 2
2.702  70  1 2 1
2.522  37  2 0 0
2.060  18  2 2 0
1.690  22  0 3 3
1.489  24  3 1 2

# 3
This entry pairs a crystal structure of Er4Sc2Tl with its theoretical X-ray diffraction stick pattern. Radiation: copper Kα. Structure: a GGA-PBE-relaxed structure.

```
data_Er4Sc2Tl
_chemical_formula_sum 'Er8 Sc4 Tl2'
_symmetry_space_group_name_H-M 'P 1 21/m 1'
_symmetry_Int_Tables_number 11
_cell_length_a 5.319
_cell_length_b 6.646
_cell_length_c 11.499
_cell_angle_alpha 90.00
_cell_angle_beta 103.39
_cell_angle_gamma 90.00
loop_
_symmetry_equiv_pos_as_xyz
'x,y,z'
'-x,-y,-z'
'-x,y+1/2,-z'
'x,-y+1/2,z'
loop_
_atom_site_label
_atom_site_fract_x
_atom_site_fract_y
_atom_site_fract_z
Er1 0.070 0.250 0.142
Er2 0.210 0.750 0.422
Er3 0.353 0.508 0.705
Sc1 0.217 0.250 0.433
Sc2 0.486 0.250 0.973
Tl1 0.074 0.750 0.147
```

Top 10 peaks for 10° ≤ 2θ ≤ 80°, in order of rising 2θ:
d (Å)  Rel. int.  index
4.331  14  1 0 -2
2.857  16  0 2 2
2.796  71  1 2 0
2.740  100  1 0 3
2.660  48  2 0 -1
2.636  36  1 2 1
2.481  29  0 2 3
1.814  23  2 2 -4
1.551  20  3 0 2
1.421  26  1 4 3